1.
# NbP
Computed X-ray powder pattern, Cu Kα. Input: a crystal structure in the Materials Project, relaxed with PBE.
Lines closer than 0.1° are merged.

Structure:
```
NbP
1.0
-1.6782 1.6782 5.7182
1.6782 -1.6782 5.7182
1.6782 1.6782 -5.7182
Nb P
2 2
direct
0.0000 0.0000 0.0000 Nb
0.7500 0.2500 0.5000 Nb
0.1675 0.6675 0.5000 P
0.4175 0.4175 0.0000 P
```

Most intense lines, 10° ≤ 2θ ≤ 90°, by intensity:
two_theta, Rel. int.
41.18, 1000
35.64, 581
27.70, 564
48.14, 361
31.29, 302
54.69, 258
75.80, 182
67.00, 174
63.31, 157
64.37, 145
88.44, 127
62.40, 112

2.
# YBi3Ru4O14
Computed X-ray powder pattern, Cu Kα. Input: a crystal structure in the Materials Project, relaxed with PBE.
Lines closer than 0.1° are merged.

Structure:
```
YBi3Ru4O14
1.0
3.6533 2.1092 6.0196
-3.6533 2.1092 6.0196
0.0000 -4.2185 6.0196
Y Bi Ru O
1 3 4 14
direct
0.0000 0.0000 0.0000 Y
0.0000 0.0000 0.5000 Bi
0.0000 0.5000 0.0000 Bi
0.5000 0.0000 0.0000 Bi
0.0000 0.5000 0.5000 Ru
0.5000 0.0000 0.5000 Ru
0.5000 0.5000 0.0000 Ru
0.5000 0.5000 0.5000 Ru
0.1202 0.1202 0.1202 O
0.1702 0.1702 0.5784 O
0.1702 0.5784 0.1702 O
0.1708 0.5796 0.5796 O
0.4204 0.4204 0.8292 O
0.4204 0.8292 0.4204 O
0.4216 0.8298 0.8298 O
0.5784 0.1702 0.1702 O
0.5796 0.1708 0.5796 O
0.5796 0.5796 0.1708 O
0.8292 0.4204 0.4204 O
0.8298 0.4216 0.8298 O
0.8298 0.8298 0.4216 O
0.8798 0.8798 0.8798 O
```

Most intense lines, 10° ≤ 2θ ≤ 90°, by intensity:
two_theta, Rel. int.
29.93, 1000
34.62, 463
29.68, 334
49.61, 310
49.93, 303
59.17, 288
58.88, 150
59.31, 145
81.13, 120
14.72, 113
62.18, 106
83.17, 102

3.
# Re2Pb3N4
Computed X-ray powder pattern, Cu Kα. Input: a crystal structure in the Materials Project, relaxed with PBE.
Lines closer than 0.1° are merged.

Structure:
```
Re2Pb3N4
1.0
7.8378 0.0000 0.0000
0.0000 8.8591 0.0000
0.0000 0.0000 10.7499
Re Pb N
8 12 16
direct
0.1566 0.2500 0.2500 Re
0.2500 0.0000 0.1399 Re
0.2500 0.5000 0.3601 Re
0.3434 0.7500 0.2500 Re
0.6566 0.2500 0.7500 Re
0.7500 0.0000 0.8601 Re
0.7500 0.5000 0.6399 Re
0.8434 0.7500 0.7500 Re
0.0644 0.1366 0.5965 Pb
0.0644 0.3634 0.9035 Pb
0.2500 0.0000 0.8592 Pb
0.2500 0.5000 0.6408 Pb
0.4356 0.6366 0.9035 Pb
0.4356 0.8634 0.5965 Pb
0.5644 0.1366 0.4035 Pb
0.5644 0.3634 0.0965 Pb
0.7500 0.0000 0.1408 Pb
0.7500 0.5000 0.3592 Pb
0.9356 0.6366 0.0965 Pb
0.9356 0.8634 0.4035 Pb
0.0585 0.0416 0.2464 N
0.0585 0.4584 0.2536 N
0.1964 0.7252 0.3859 N
0.1964 0.7748 0.1141 N
0.3036 0.2252 0.1141 N
0.3036 0.2748 0.3859 N
0.4415 0.5416 0.2536 N
0.4415 0.9584 0.2464 N
0.5585 0.0416 0.7536 N
0.5585 0.4584 0.7464 N
0.6964 0.7252 0.6141 N
0.6964 0.7748 0.8859 N
0.8036 0.2252 0.8859 N
0.8036 0.2748 0.6141 N
0.9415 0.5416 0.7464 N
0.9415 0.9584 0.7536 N
```

Most intense lines, 10° ≤ 2θ ≤ 90°, by intensity:
two_theta, Rel. int.
26.21, 1000
29.20, 734
28.49, 607
31.42, 538
24.84, 513
35.42, 468
47.14, 387
45.78, 315
27.37, 258
31.60, 234
26.84, 231
39.21, 225

4.
# Na5Si6O18
Computed X-ray powder pattern, Cu Kα. Input: a crystal structure in the Materials Project, relaxed with PBE.
Lines closer than 0.1° are merged.

Structure:
```
Na5Si6O18
1.0
7.7785 0.0000 0.0000
-3.3484 7.0632 0.0000
-0.8493 -4.1988 8.5993
Na Si O
5 6 18
direct
0.0000 0.0000 0.0000 Na
0.1756 0.2709 0.5080 Na
0.4449 0.7712 0.0153 Na
0.5551 0.2288 0.9847 Na
0.8244 0.7291 0.4920 Na
0.0801 0.7281 0.2288 Si
0.1127 0.6797 0.7379 Si
0.3092 0.4981 0.2405 Si
0.6908 0.5019 0.7595 Si
0.8873 0.3203 0.2621 Si
0.9199 0.2719 0.7712 Si
0.0327 0.7759 0.0843 O
0.0959 0.6046 0.5434 O
0.1017 0.3230 0.2542 O
0.1054 0.4824 0.7708 O
0.1104 0.9364 0.3718 O
0.2716 0.6852 0.2270 O
0.3057 0.8947 0.8423 O
0.3777 0.3865 0.0969 O
0.5002 0.4140 0.6183 O
0.4998 0.5860 0.3817 O
0.6223 0.6135 0.9031 O
0.6943 0.1053 0.1577 O
0.7284 0.3148 0.7730 O
0.8896 0.0636 0.6282 O
0.8946 0.5176 0.2292 O
0.8983 0.6770 0.7458 O
0.9041 0.3954 0.4566 O
0.9673 0.2241 0.9157 O
```

Most intense lines, 10° ≤ 2θ ≤ 90°, by intensity:
two_theta, Rel. int.
13.15, 1000
13.95, 911
24.64, 431
23.91, 412
25.92, 373
18.92, 346
19.19, 284
20.68, 259
22.75, 257
33.20, 256
30.15, 232
26.78, 170

5.
# U2Si3Os
Computed X-ray powder pattern, Cu Kα. Input: a crystal structure in the Materials Project, relaxed with PBE.
Lines closer than 0.1° are merged.

Structure:
```
U2Si3Os
1.0
3.6785 0.0000 0.0000
0.0000 4.1859 0.0000
0.0000 0.0000 7.0898
U Si Os
2 3 1
direct
0.0000 0.0000 0.0000 U
0.0000 0.5000 0.4894 U
0.5000 0.0000 0.6692 Si
0.5000 0.5000 0.1537 Si
0.5000 0.5000 0.8244 Si
0.5000 0.0000 0.3282 Os
```

Most intense lines, 10° ≤ 2θ ≤ 90°, by intensity:
two_theta, Rel. int.
34.85, 1000
35.16, 489
24.70, 381
44.00, 376
56.89, 252
68.41, 210
12.48, 208
43.23, 199
25.12, 181
49.56, 135
73.86, 121
57.74, 118

6.
# HoCuSn
Computed X-ray powder pattern, Cu Kα. Input: a crystal structure in the Materials Project, relaxed with PBE.
Lines closer than 0.1° are merged.

Structure:
```
HoCuSn
1.0
4.5231 0.0000 0.0000
-2.2615 3.9171 0.0000
0.0000 0.0000 7.3008
Ho Cu Sn
2 2 2
direct
0.0000 0.0000 0.0000 Ho
0.0000 0.0000 0.5000 Ho
0.3333 0.6667 0.2500 Cu
0.6667 0.3333 0.7500 Cu
0.3333 0.6667 0.7500 Sn
0.6667 0.3333 0.2500 Sn
```

Most intense lines, 10° ≤ 2θ ≤ 90°, by intensity:
two_theta, Rel. int.
33.56, 1000
39.86, 588
53.06, 273
65.75, 268
68.38, 255
49.97, 102
72.37, 101
22.70, 91
83.12, 76
85.96, 66
25.81, 58
55.55, 16

7.
# BaMg14CdO16
Computed X-ray powder pattern, Cu Kα. Input: a crystal structure in the Materials Project, relaxed with PBE.
Lines closer than 0.1° are merged.

Structure:
```
BaMg14CdO16
1.0
4.5567 0.0000 0.0000
0.0000 8.7954 0.0000
0.0000 0.0000 8.8835
Ba Mg Cd O
1 14 1 16
direct
0.0000 0.0000 0.0000 Ba
0.0000 0.2626 0.2571 Mg
0.0000 0.2626 0.7429 Mg
0.0000 0.5000 0.0000 Mg
0.0000 0.5000 0.5000 Mg
0.0000 0.7374 0.2571 Mg
0.0000 0.7374 0.7429 Mg
0.5000 0.0000 0.2613 Mg
0.5000 0.0000 0.7387 Mg
0.5000 0.2570 0.5000 Mg
0.5000 0.2647 0.0000 Mg
0.5000 0.5000 0.2521 Mg
0.5000 0.5000 0.7479 Mg
0.5000 0.7353 0.0000 Mg
0.5000 0.7430 0.5000 Mg
0.0000 0.0000 0.5000 Cd
0.0000 0.0000 0.2673 O
0.0000 0.0000 0.7327 O
0.0000 0.2713 0.5000 O
0.0000 0.2814 0.0000 O
0.0000 0.5000 0.2543 O
0.0000 0.5000 0.7457 O
0.0000 0.7186 0.0000 O
0.0000 0.7287 0.5000 O
0.5000 0.0000 0.0000 O
0.5000 0.0000 0.5000 O
0.5000 0.2509 0.2511 O
0.5000 0.2509 0.7489 O
0.5000 0.5000 0.0000 O
0.5000 0.5000 0.5000 O
0.5000 0.7491 0.2511 O
0.5000 0.7491 0.7489 O
```

Most intense lines, 10° ≤ 2θ ≤ 90°, by intensity:
two_theta, Rel. int.
39.56, 1000
10.06, 938
40.62, 906
34.81, 891
41.05, 844
57.99, 564
59.12, 546
58.32, 534
73.49, 485
29.87, 453
21.97, 408
22.42, 403